No. 1
Starting from a cell relaxed with GGA-PBE, the powder diffraction line list of MgTi4O8 was computed for CuKα.
No peak broadening, texture or thermal motion is included.

Most intense lines, 15° ≤ 2θ ≤ 90°, by intensity:
22.2 deg, d 4.006, I = 100.0, (1 0 -1)
26.8 deg, d 3.325, I = 74.3, (1 -1 1)
32.8 deg, d 2.729, I = 54.9, (1 1 1)
28.0 deg, d 3.185, I = 53.1, (0 0 2)
22.5 deg, d 3.958, I = 50.1, (1 -1 0)
38.5 deg, d 2.336, I = 49.7, (1 1 -2)
35.8 deg, d 2.511, I = 45.4, (-1 1 2)
42.0 deg, d 2.149, I = 39.7, (1 1 2)
45.8 deg, d 1.979, I = 37.9, (2 -2 0)
38.8 deg, d 2.321, I = 34.8, (2 0 -1)
30.7 deg, d 2.915, I = 33.9, (1 1 -1)
37.9 deg, d 2.374, I = 30.1, (0 2 -1)

abc: 4.9749 5.1522 6.3931
angles: 91.92 93.98 102.96
Space group P1 (No. 1)
Asymmetric unit:
Mg (0.0000, 0.0000, 0.0000) x1
Ti (0.3204, 0.3106, 0.5085) x1
Ti (0.3941, 0.8430, 0.7195) x1
Ti (0.6714, 0.4256, 0.0402) x1
Ti (0.8451, 0.8388, 0.4648) x1
O (0.0055, 0.6160, 0.0132) x1
O (0.0623, 0.1118, 0.2986) x1
O (0.1034, 0.0643, 0.7095) x1
O (0.1167, 0.6159, 0.5284) x1
O (0.4919, 0.5140, 0.7990) x1
O (0.5780, 0.0704, 0.5103) x1
O (0.5839, 0.5486, 0.3088) x1
O (0.6101, 0.0567, 0.9739) x1


No. 2
Starting from a cell relaxed with GGA-PBE, the powder diffraction line list of YMg6TiO8 was computed for CuKα.
No peak broadening, texture or thermal motion is included.

Most intense lines, 15° ≤ 2θ ≤ 90°, by intensity:
40.5 deg, d 2.227, I = 100.0, (2 0 0)
58.6 deg, d 1.575, I = 58.0, (2 2 0)
34.9 deg, d 2.571, I = 28.9, (1 1 2)
19.9 deg, d 4.453, I = 28.6, (0 0 2)
28.3 deg, d 3.149, I = 23.3, (1 1 0)
73.7 deg, d 1.286, I = 17.5, (2 2 4)
70.1 deg, d 1.343, I = 14.0, (3 1 2)
45.5 deg, d 1.992, I = 12.0, (2 0 2)
50.2 deg, d 1.818, I = 9.3, (1 1 4)
87.6 deg, d 1.113, I = 7.8, (4 0 0)
30.1 deg, d 2.969, I = 7.1, (0 0 3)
22.3 deg, d 3.983, I = 6.6, (1 0 1)

abc: 4.4534 4.4534 8.9070
angles: 90.00 90.00 90.00
Space group P4/mmm (No. 123)
Asymmetric unit:
Y (0.0000, 0.0000, 0.0000) x1
Mg (0.0000, 0.5000, 0.2649) x4
Mg (0.5000, 0.5000, 0.0000) x1
Mg (0.5000, 0.5000, 0.5000) x1
Ti (0.0000, 0.0000, 0.5000) x1
O (0.0000, 0.0000, 0.2545) x2
O (0.0000, 0.5000, 0.0000) x2
O (0.0000, 0.5000, 0.5000) x2
O (0.5000, 0.5000, 0.2517) x2


No. 3
Starting from a cell relaxed with GGA-PBE, the powder diffraction line list of YMg14TiO16 was computed for CuKα.
No peak broadening, texture or thermal motion is included.

Most intense lines, 15° ≤ 2θ ≤ 90°, by intensity:
41.4 deg, d 2.182, I = 100.0, (0 0 2)
59.9 deg, d 1.543, I = 56.9, (4 0 2)
35.6 deg, d 2.520, I = 19.6, (2 2 1)
75.4 deg, d 1.260, I = 17.1, (4 4 2)
71.7 deg, d 1.316, I = 10.7, (2 2 3)
20.3 deg, d 4.365, I = 9.1, (2 0 0)
89.9 deg, d 1.091, I = 7.7, (0 0 4)
28.9 deg, d 3.086, I = 7.4, (2 2 0)
25.0 deg, d 3.565, I = 7.1, (1 1 1)
32.4 deg, d 2.760, I = 4.9, (3 1 0)
30.7 deg, d 2.910, I = 4.3, (3 0 0)
22.8 deg, d 3.904, I = 4.2, (2 1 0)

abc: 8.7284 8.7284 4.3664
angles: 90.00 90.00 90.00
Space group P4/mmm (No. 123)
Asymmetric unit:
Y (0.0000, 0.0000, 0.0000) x1
Mg (0.0000, 0.2630, 0.5000) x4
Mg (0.0000, 0.5000, 0.0000) x2
Mg (0.2510, 0.5000, 0.5000) x4
Mg (0.2578, 0.2578, 0.0000) x4
Ti (0.5000, 0.5000, 0.0000) x1
O (0.0000, 0.0000, 0.5000) x1
O (0.0000, 0.2585, 0.0000) x4
O (0.0000, 0.5000, 0.5000) x2
O (0.2403, 0.5000, 0.0000) x4
O (0.2484, 0.2484, 0.5000) x4
O (0.5000, 0.5000, 0.5000) x1


No. 4
Starting from a cell relaxed with GGA-PBE, the powder diffraction line list of YMg14TiO16 was computed for CuKα.
No peak broadening, texture or thermal motion is included.

Most intense lines, 15° ≤ 2θ ≤ 90°, by intensity:
41.5 deg, d 2.177, I = 100.0, (2 0 0)
60.0 deg, d 1.543, I = 57.3, (2 0 4)
41.3 deg, d 2.186, I = 50.5, (0 0 4)
35.7 deg, d 2.517, I = 29.5, (1 2 2)
60.1 deg, d 1.539, I = 28.5, (2 4 0)
75.5 deg, d 1.259, I = 25.8, (2 4 4)
22.8 deg, d 3.901, I = 15.1, (1 1 0)
20.4 deg, d 4.360, I = 13.7, (0 2 0)
29.0 deg, d 3.083, I = 11.1, (0 2 2)
71.9 deg, d 1.313, I = 10.9, (3 2 2)
30.7 deg, d 2.910, I = 7.9, (1 1 2)
30.8 deg, d 2.902, I = 5.5, (0 3 0)

abc: 4.3573 8.7025 8.7444
angles: 90.00 90.00 90.00
Space group Pmmm (No. 47)
Asymmetric unit:
Y (0.0000, 0.0000, 0.0000) x1
Mg (0.0000, 0.2563, 0.2576) x4
Mg (0.0000, 0.5000, 0.0000) x1
Mg (0.0000, 0.5000, 0.5000) x1
Mg (0.5000, 0.0000, 0.2618) x2
Mg (0.5000, 0.2528, 0.5000) x2
Mg (0.5000, 0.2624, 0.0000) x2
Mg (0.5000, 0.5000, 0.2523) x2
Ti (0.0000, 0.0000, 0.5000) x1
O (0.0000, 0.0000, 0.2529) x2
O (0.0000, 0.2613, 0.5000) x2
O (0.0000, 0.2615, 0.0000) x2
O (0.0000, 0.5000, 0.2498) x2
O (0.5000, 0.0000, 0.0000) x1
O (0.5000, 0.0000, 0.5000) x1
O (0.5000, 0.2490, 0.2493) x4
O (0.5000, 0.5000, 0.0000) x1
O (0.5000, 0.5000, 0.5000) x1


No. 5
Starting from a cell relaxed with GGA-PBE, the powder diffraction line list of YMg6TiO8 was computed for CuKα.
No peak broadening, texture or thermal motion is included.

Most intense lines, 15° ≤ 2θ ≤ 90°, by intensity:
40.9 deg, d 2.206, I = 100.0, (2 0 0)
59.2 deg, d 1.561, I = 85.8, (2 2 0)
40.8 deg, d 2.212, I = 48.6, (0 0 4)
35.2 deg, d 2.550, I = 43.9, (1 1 2)
30.4 deg, d 2.945, I = 31.4, (0 0 3)
74.4 deg, d 1.275, I = 25.9, (2 2 4)
20.1 deg, d 4.421, I = 21.4, (0 0 2)
28.6 deg, d 3.121, I = 17.2, (1 1 0)
70.8 deg, d 1.331, I = 14.7, (3 1 2)
42.2 deg, d 2.142, I = 11.5, (1 1 3)
22.5 deg, d 3.949, I = 9.7, (1 0 1)
51.7 deg, d 1.767, I = 8.4, (2 0 3)

abc: 4.4123 4.4123 8.8489
angles: 90.00 90.00 90.00
Space group P4/mmm (No. 123)
Asymmetric unit:
Y (0.0000, 0.0000, 0.0000) x1
Mg (0.0000, 0.0000, 0.5000) x1
Mg (0.0000, 0.5000, 0.2624) x4
Mg (0.5000, 0.5000, 0.5000) x1
Ti (0.5000, 0.5000, 0.0000) x1
O (0.0000, 0.0000, 0.2640) x2
O (0.0000, 0.5000, 0.0000) x2
O (0.0000, 0.5000, 0.5000) x2
O (0.5000, 0.5000, 0.2598) x2


No. 6
Starting from a cell relaxed with GGA-PBE, the powder diffraction line list of MgTi3Zn2O8 was computed for CuKα.
No peak broadening, texture or thermal motion is included.

Most intense lines, 15° ≤ 2θ ≤ 90°, by intensity:
35.6 deg, d 2.521, I = 100.0, (0 2 1)
34.5 deg, d 2.599, I = 94.1, (1 1 3)
52.8 deg, d 1.734, I = 76.5, (0 2 7)
27.8 deg, d 3.215, I = 67.5, (1 0 4)
63.1 deg, d 1.473, I = 51.1, (2 2 0)
30.3 deg, d 2.945, I = 39.1, (1 1 0)
18.2 deg, d 4.876, I = 38.4, (1 0 1)
57.3 deg, d 1.607, I = 37.2, (2 0 8)
16.1 deg, d 5.520, I = 31.7, (0 0 3)
41.6 deg, d 2.172, I = 28.9, (0 2 4)
20.4 deg, d 4.343, I = 28.2, (0 1 2)
52.3 deg, d 1.748, I = 21.6, (2 1 4)

abc: 5.8909 5.8909 16.5586
angles: 90.00 90.00 120.00
Space group R-3m (No. 166, hexagonal axes)
Asymmetric unit:
Mg (0.0000, 0.0000, 0.0000) x3
Ti (0.0000, 0.5000, 0.0000) x9
Zn (0.0000, 0.0000, 0.1475) x6
O (0.0000, 0.0000, 0.2631) x6
O (0.9997, 0.4998, 0.2669) x18


No. 7
Starting from a cell relaxed with GGA-PBE, the powder diffraction line list of MgTi3Zn2O8 was computed for CuKα.
No peak broadening, texture or thermal motion is included.

Most intense lines, 15° ≤ 2θ ≤ 90°, by intensity:
30.3 deg, d 2.947, I = 100.0, (3 1 -1)
35.1 deg, d 2.559, I = 70.7, (0 2 1)
35.6 deg, d 2.522, I = 45.6, (3 1 0)
34.3 deg, d 2.611, I = 44.8, (3 1 -2)
41.9 deg, d 2.157, I = 36.0, (2 2 -2)
45.5 deg, d 1.992, I = 32.3, (3 1 -3)
63.1 deg, d 1.474, I = 32.0, (6 2 -2)
18.0 deg, d 4.928, I = 28.6, (2 0 -1)
54.0 deg, d 1.699, I = 26.4, (3 3 -1)
47.6 deg, d 1.911, I = 25.7, (3 1 1)
18.4 deg, d 4.811, I = 25.4, (1 1 0)
34.5 deg, d 2.600, I = 25.1, (0 0 2)

abc: 10.2339 5.8805 6.3609
angles: 90.00 125.16 90.00
Space group C2/m (No. 12)
Asymmetric unit:
Mg (0.0000, 0.0000, 0.0000) x2
Ti (0.0000, 0.5000, 0.5000) x2
Ti (0.2500, 0.2500, 0.0000) x4
Zn (0.1451, 0.0000, 0.4803) x4
O (0.0093, 0.2433, 0.7362) x8
O (0.2187, 0.5000, 0.1667) x4
O (0.2436, 0.0000, 0.2315) x4


No. 8
Starting from a cell relaxed with GGA-PBE, the powder diffraction line list of MgTi3Zn2O8 was computed for CuKα.
No peak broadening, texture or thermal motion is included.

Most intense lines, 15° ≤ 2θ ≤ 90°, by intensity:
35.0 deg, d 2.567, I = 100.0, (3 1 0)
29.3 deg, d 3.044, I = 76.6, (1 1 1)
35.2 deg, d 2.549, I = 75.9, (4 0 -1)
34.5 deg, d 2.603, I = 50.9, (2 0 1)
62.2 deg, d 1.494, I = 49.2, (0 4 0)
29.9 deg, d 2.987, I = 39.4, (0 2 0)
60.9 deg, d 1.521, I = 34.8, (2 2 2)
56.0 deg, d 1.641, I = 21.3, (4 2 -3)
56.4 deg, d 1.632, I = 18.8, (3 3 -2)
60.8 deg, d 1.524, I = 17.5, (4 0 -4)
52.7 deg, d 1.736, I = 17.1, (1 3 1)
55.5 deg, d 1.655, I = 16.3, (2 2 -3)

abc: 10.3425 5.9769 6.0978
angles: 90.00 124.60 90.00
Space group Cm (No. 8)
Asymmetric unit:
Mg (0.0000, 0.0000, 0.0000) x2
Ti (0.2494, 0.2500, 0.5003) x4
Ti (0.4992, 0.5000, 0.4992) x2
Zn (0.1232, 0.5000, 0.8704) x2
Zn (0.3758, 0.0000, 0.1297) x2
O (0.0126, 0.2305, 0.2701) x4
O (0.2426, 0.0000, 0.7283) x2
O (0.2438, 0.0000, 0.2716) x2
O (0.2562, 0.5000, 0.2718) x2
O (0.2557, 0.5000, 0.7297) x2
O (0.4866, 0.2697, 0.7294) x4


No. 9
Starting from a cell relaxed with GGA-PBE, the powder diffraction line list of MgTi2ZnO6 was computed for CuKα.
No peak broadening, texture or thermal motion is included.

Most intense lines, 15° ≤ 2θ ≤ 90°, by intensity:
32.5 deg, d 2.753, I = 100.0, (1 0 4)
35.1 deg, d 2.557, I = 62.8, (1 1 0)
53.0 deg, d 1.727, I = 47.9, (1 1 6)
23.7 deg, d 3.747, I = 41.6, (0 1 2)
48.6 deg, d 1.873, I = 40.1, (0 2 4)
61.3 deg, d 1.511, I = 34.1, (2 1 4)
63.0 deg, d 1.476, I = 34.0, (3 0 0)
40.2 deg, d 2.245, I = 28.3, (2 -1 3)
21.0 deg, d 4.224, I = 13.2, (1 0 1)
56.3 deg, d 1.633, I = 12.0, (0 1 8)
70.2 deg, d 1.340, I = 11.3, (1 0 10)
83.3 deg, d 1.160, I = 10.5, (4 -3 4)

abc: 5.1138 5.1138 14.0580
angles: 90.00 90.00 120.00
Space group R3 (No. 146, hexagonal axes)
Asymmetric unit:
Mg (0.0000, 0.0000, 0.0000) x3
Ti (0.0000, 0.0000, 0.2117) x3
Ti (0.0000, 0.0000, 0.5020) x3
Zn (0.0000, 0.0000, 0.7164) x3
O (0.0170, 0.3733, 0.7760) x9
O (0.0358, 0.6866, 0.2682) x9


No. 10
Starting from a cell relaxed with GGA-PBE, the powder diffraction line list of YMg6ZnO8 was computed for CuKα.
No peak broadening, texture or thermal motion is included.

Most intense lines, 15° ≤ 2θ ≤ 90°, by intensity:
40.7 deg, d 2.218, I = 100.0, (2 0 0)
58.5 deg, d 1.578, I = 57.8, (2 0 4)
34.9 deg, d 2.572, I = 51.0, (1 1 2)
40.2 deg, d 2.246, I = 49.7, (0 0 4)
20.0 deg, d 4.437, I = 39.1, (1 0 0)
28.3 deg, d 3.156, I = 33.5, (1 0 2)
58.9 deg, d 1.569, I = 29.6, (2 2 0)
73.7 deg, d 1.286, I = 26.4, (2 2 4)
19.8 deg, d 4.491, I = 21.1, (0 0 2)
70.3 deg, d 1.339, I = 16.8, (3 1 2)
28.4 deg, d 3.137, I = 16.5, (1 1 0)
50.3 deg, d 1.815, I = 13.2, (2 1 2)

abc: 4.4369 4.4369 8.9822
angles: 90.00 90.00 90.00
Space group P4/mmm (No. 123)
Asymmetric unit:
Y (0.0000, 0.0000, 0.0000) x1
Mg (0.0000, 0.5000, 0.2677) x4
Mg (0.5000, 0.5000, 0.0000) x1
Mg (0.5000, 0.5000, 0.5000) x1
Zn (0.0000, 0.0000, 0.5000) x1
O (0.0000, 0.0000, 0.2505) x2
O (0.0000, 0.5000, 0.0000) x2
O (0.0000, 0.5000, 0.5000) x2
O (0.5000, 0.5000, 0.2499) x2


No. 11
Starting from a cell relaxed with GGA-PBE, the powder diffraction line list of YMg14ZnO16 was computed for CuKα.
No peak broadening, texture or thermal motion is included.

Most intense lines, 15° ≤ 2θ ≤ 90°, by intensity:
41.5 deg, d 2.176, I = 100.0, (2 0 0)
59.9 deg, d 1.545, I = 57.7, (2 0 4)
41.2 deg, d 2.194, I = 51.0, (0 0 4)
35.6 deg, d 2.519, I = 33.8, (1 2 2)
60.1 deg, d 1.538, I = 28.6, (2 4 0)
75.5 deg, d 1.260, I = 25.9, (2 4 4)
30.7 deg, d 2.908, I = 15.4, (0 3 0)
20.4 deg, d 4.351, I = 13.4, (0 2 0)
71.9 deg, d 1.313, I = 12.2, (3 2 2)
28.9 deg, d 3.090, I = 11.3, (0 2 2)
22.9 deg, d 3.892, I = 9.8, (1 1 0)
22.7 deg, d 3.918, I = 9.2, (0 1 2)

abc: 4.3496 8.7064 8.7746
angles: 90.00 90.00 90.00
Space group Pmmm (No. 47)
Asymmetric unit:
Y (0.0000, 0.0000, 0.0000) x1
Mg (0.0000, 0.2567, 0.2596) x4
Mg (0.0000, 0.5000, 0.0000) x1
Mg (0.0000, 0.5000, 0.5000) x1
Mg (0.5000, 0.0000, 0.2652) x2
Mg (0.5000, 0.2523, 0.5000) x2
Mg (0.5000, 0.2631, 0.0000) x2
Mg (0.5000, 0.5000, 0.2534) x2
Zn (0.0000, 0.0000, 0.5000) x1
O (0.0000, 0.0000, 0.2505) x2
O (0.0000, 0.2599, 0.0000) x2
O (0.0000, 0.2662, 0.5000) x2
O (0.0000, 0.5000, 0.2477) x2
O (0.5000, 0.0000, 0.0000) x1
O (0.5000, 0.0000, 0.5000) x1
O (0.5000, 0.2505, 0.2481) x4
O (0.5000, 0.5000, 0.0000) x1
O (0.5000, 0.5000, 0.5000) x1